For SmTm3O6, a structure optimized by DFT (PBE) gives the computed powder diffraction line list in this record (Cu Kα, 1.54184 Å).
Intensities are scaled so that the largest is 100.

Atomic structure:
Cell: 9.5691 9.5691 11.3592 Å, 90.00 90.00 120.00°
Space group R-3 (No. 148, hexagonal axes)
One atom of each set of equivalent atoms:
Sm (0.0000, 0.0000, 0.0000) (multiplicity 3)
Sm (0.0000, 0.0000, 0.5000) (multiplicity 3)
Tm (0.0374, 0.2643, 0.2111) (multiplicity 18)
O (0.0235, 0.2241, 0.4013) (multiplicity 18)
O (0.0283, 0.1893, 0.8634) (multiplicity 18)

The 6 most intense peaks (2θ = 10–90°), low angle first:
(0 0 3), 2θ 23.50, I 35.3; (2 0 2), 2θ 26.63, I 35.5; (2 1 1), 2θ 29.58, I 100.0; (1 1 3), 2θ 30.10, I 46.2; (3 -2 2), 2θ 32.65, I 79.6; (1 4 0), 2θ 50.47, I 34.7